Entry 1:
Calculated XRD peak list
Compound: La6AsIr2Br3
Radiation: Cu Kα (λ = 1.5418 Å)
Structure: a DFT-relaxed cell (GGA-PBE, Alexandria)
Lines closer than 0.1° are merged.

Crystal structure
abc: 7.4306 7.4306 8.1257
angles: 98.69 98.69 120.01
Positions (direct):
La 0.0832 0.4321 0.7985
La 0.2180 0.2180 0.2017
La 0.4321 0.0832 0.7985
La 0.5679 0.9168 0.2015
La 0.7820 0.7820 0.7983
La 0.9168 0.5679 0.2015
As 0.5000 0.5000 0.0000
Ir 0.1670 0.8330 0.0000
Ir 0.8330 0.1670 0.0000
Br 0.0000 0.0000 0.5000
Br 0.3376 0.6624 0.5000
Br 0.6624 0.3376 0.5000

Top 10 peaks for 2θ from 15° to 90°, low angle first:
- 28.52 deg, I = 100
- 36.29 deg, I = 14
- 39.38 deg, I = 32
- 42.13 deg, I = 37
- 49.65 deg, I = 9
- 51.62 deg, I = 6
- 51.68 deg, I = 12
- 58.99 deg, I = 6
- 68.78 deg, I = 15
- 77.00 deg, I = 7


Entry 2:
Calculated XRD peak list
Compound: TbPm5
Radiation: Cu Kα (λ = 1.5418 Å)
Structure: a DFT-relaxed cell (GGA-PBE, Alexandria)
Lines closer than 0.1° are merged.

Crystal structure
abc: 5.1371 15.4411 5.1379
angles: 90.00 90.00 90.00
Positions (direct):
Tb 0.0000 0.0000 0.0000
Tb 0.5000 0.5000 0.0000
Pm 0.0000 0.1664 0.5000
Pm 0.0000 0.3341 0.0000
Pm 0.0000 0.5000 0.5000
Pm 0.0000 0.6659 0.0000
Pm 0.0000 0.8336 0.5000
Pm 0.5000 0.0000 0.5000
Pm 0.5000 0.1659 0.0000
Pm 0.5000 0.3336 0.5000
Pm 0.5000 0.6664 0.5000
Pm 0.5000 0.8341 0.0000

Top 10 peaks for 2θ from 15° to 90°, low angle first:
- 30.11 deg, I = 100
- 34.91 deg, I = 51
- 50.20 deg, I = 36
- 59.65 deg, I = 43
- 62.60 deg, I = 12
- 73.61 deg, I = 2
- 73.77 deg, I = 4
- 81.64 deg, I = 18
- 84.15 deg, I = 5
- 84.28 deg, I = 11